Diffraction record for SrFe2Se2O. The PXRD pattern is computed, not measured: it uses a DFT-relaxed cell (GGA+U, Alexandria) and Cu Kα.
Intensities are scaled so that the largest is 100.

The 10 most intense peaks (5° ≤ 2θ ≤ 70°), low angle first:
- d = 4.022 Å, 2θ = 22.10°, intensity 48.0, hkl 1 0 2
- d = 3.307 Å, 2θ = 26.96°, intensity 53.5, hkl 1 1 1
- d = 2.873 Å, 2θ = 31.13°, intensity 24.0, hkl 1 1 2
- d = 2.791 Å, 2θ = 32.07°, intensity 44.3, hkl 2 0 -2
- d = 2.595 Å, 2θ = 34.56°, intensity 100.0, hkl 0 1 3
- d = 2.516 Å, 2θ = 35.69°, intensity 42.9, hkl 2 1 1
- d = 2.053 Å, 2θ = 44.12°, intensity 32.5, hkl 0 2 0
- d = 1.829 Å, 2θ = 49.85°, intensity 28.2, hkl 3 1 -2
- d = 1.695 Å, 2θ = 54.12°, intensity 18.7, hkl 3 1 3
- d = 1.654 Å, 2θ = 55.58°, intensity 18.5, hkl 2 2 -2

Atomic structure:
abc: 6.7131 4.1055 10.0473
angles: 90.00 90.05 90.00
Space group P2_1 (No. 4)
Inequivalent atoms, fractional coordinates:
Sr (0.9997, 0.0000, 0.2499) [2 per cell]
Fe (0.3686, 0.4933, 0.4152) [2 per cell]
Fe (0.3693, 0.4951, 0.0854) [2 per cell]
Se (0.2513, 0.9983, 0.9486) [2 per cell]
Se (0.2515, 0.9974, 0.5518) [2 per cell]
O (0.2167, 0.5029, 0.2502) [2 per cell]